# 1
Simulated PXRD pattern of CsSn6Au4 for CuKα, from a DFT-relaxed cell (PBE, Alexandria).

Cell and atoms:
a = 8.583 Å, b = 8.583 Å, c = 4.490 Å
α = 90.00°, β = 90.00°, γ = 120.00°
Atoms (fractional coordinates):
Cs: 0.000 0.000 0.000
Sn: 0.201 0.401 0.500
Sn: 0.201 0.799 0.500
Sn: 0.534 0.067 0.000
Sn: 0.534 0.466 0.000
Sn: 0.599 0.799 0.500
Sn: 0.933 0.466 0.000
Au: 0.333 0.667 0.000
Au: 0.411 0.206 0.500
Au: 0.794 0.206 0.500
Au: 0.794 0.589 0.500

Largest 12 diffraction maxima, by angle, 10 to 80 degrees two-theta:
- 2θ 11.9, I = 27
- 2θ 28.8, I = 39
- 2θ 31.2, I = 97
- 2θ 31.9, I = 59
- 2θ 37.8, I = 100
- 2θ 40.2, I = 41
- 2θ 41.6, I = 47
- 2θ 42.1, I = 39
- 2θ 52.2, I = 30
- 2θ 59.6, I = 26
- 2θ 66.2, I = 31
- 2θ 79.4, I = 18

# 2
Simulated PXRD pattern of Cs2Sn2Au3 for CuKα, from a DFT-relaxed cell (PBE, Alexandria).

Cell and atoms:
a = 7.545 Å, b = 7.990 Å, c = 9.156 Å
α = 90.00°, β = 109.77°, γ = 90.00°
Atoms (fractional coordinates):
Cs: 0.192 0.100 0.406
Cs: 0.192 0.400 0.906
Cs: 0.808 0.600 0.094
Cs: 0.808 0.900 0.594
Sn: 0.355 0.606 0.555
Sn: 0.355 0.894 0.055
Sn: 0.645 0.106 0.945
Sn: 0.645 0.394 0.445
Au: 0.000 0.000 0.000
Au: 0.000 0.500 0.500
Au: 0.439 0.673 0.290
Au: 0.439 0.827 0.790
Au: 0.561 0.173 0.210
Au: 0.561 0.327 0.710

Largest 12 diffraction maxima, by angle, 10 to 80 degrees two-theta:
- 2θ 12.5, I = 50
- 2θ 15.1, I = 78
- 2θ 24.6, I = 61
- 2θ 25.6, I = 62
- 2θ 26.2, I = 78
- 2θ 27.5, I = 79
- 2θ 27.6, I = 62
- 2θ 29.2, I = 100
- 2θ 30.5, I = 56
- 2θ 31.4, I = 97
- 2θ 39.8, I = 44
- 2θ 44.4, I = 63

# 3
Simulated PXRD pattern of Cs2Sn2Au5 for CuKα, from a DFT-relaxed cell (PBE, Alexandria).

Cell and atoms:
a = 8.072 Å, b = 8.072 Å, c = 9.449 Å
α = 94.48°, β = 94.48°, γ = 34.77°
Atoms (fractional coordinates):
Cs: 0.094 0.094 0.278
Cs: 0.906 0.906 0.722
Sn: 0.357 0.357 0.143
Sn: 0.643 0.643 0.857
Au: 0.214 0.214 0.932
Au: 0.430 0.430 0.407
Au: 0.500 0.500 0.000
Au: 0.570 0.570 0.593
Au: 0.786 0.786 0.068

Largest 12 diffraction maxima, by angle, 10 to 80 degrees two-theta:
- 2θ 14.3, I = 98
- 2θ 19.3, I = 49
- 2θ 26.6, I = 33
- 2θ 26.8, I = 83
- 2θ 27.6, I = 100
- 2θ 28.8, I = 84
- 2θ 31.7, I = 48
- 2θ 37.3, I = 68
- 2θ 39.6, I = 53
- 2θ 40.9, I = 50
- 2θ 45.7, I = 51
- 2θ 47.8, I = 43

# 4
Simulated PXRD pattern of Cs2Sn2Au for CuKα, from a DFT-relaxed cell (PBE, Alexandria).

Cell and atoms:
a = 7.871 Å, b = 7.871 Å, c = 13.160 Å
α = 115.89°, β = 115.89°, γ = 33.81°
Atoms (fractional coordinates):
Cs: 0.023 0.023 0.160
Cs: 0.212 0.212 0.621
Cs: 0.788 0.788 0.379
Cs: 0.977 0.977 0.840
Sn: 0.279 0.279 0.941
Sn: 0.493 0.493 0.607
Sn: 0.507 0.507 0.393
Sn: 0.721 0.721 0.059
Au: 0.343 0.343 0.184
Au: 0.657 0.657 0.816

Largest 12 diffraction maxima, by angle, 10 to 80 degrees two-theta:
- 2θ 11.9, I = 58
- 2θ 26.4, I = 100
- 2θ 27.4, I = 15
- 2θ 28.4, I = 32
- 2θ 29.8, I = 14
- 2θ 30.0, I = 36
- 2θ 34.3, I = 16
- 2θ 39.4, I = 30
- 2θ 42.0, I = 29
- 2θ 45.9, I = 20
- 2θ 49.9, I = 16
- 2θ 50.3, I = 17

# 5
Simulated PXRD pattern of CsSn2Au4 for CuKα, from a DFT-relaxed cell (PBE, Alexandria).

Cell and atoms:
a = 7.840 Å, b = 7.840 Å, c = 7.840 Å
α = 105.93°, β = 105.93°, γ = 116.82°
Atoms (fractional coordinates):
Cs: 0.250 0.250 0.000
Cs: 0.750 0.750 0.000
Sn: 0.136 0.636 0.771
Sn: 0.364 0.136 0.500
Sn: 0.636 0.864 0.500
Sn: 0.864 0.364 0.229
Au: 0.014 0.819 0.500
Au: 0.181 0.681 0.195
Au: 0.319 0.514 0.500
Au: 0.486 0.986 0.805
Au: 0.514 0.014 0.195
Au: 0.681 0.486 0.500
Au: 0.819 0.319 0.805
Au: 0.986 0.181 0.500

Largest 12 diffraction maxima, by angle, 10 to 80 degrees two-theta:
- 2θ 13.3, I = 29
- 2θ 23.7, I = 9
- 2θ 29.9, I = 80
- 2θ 38.1, I = 22
- 2θ 39.2, I = 100
- 2θ 40.5, I = 22
- 2θ 48.1, I = 10
- 2θ 52.1, I = 15
- 2θ 55.0, I = 10
- 2θ 58.7, I = 10
- 2θ 62.9, I = 38
- 2θ 76.9, I = 12

# 6
Simulated PXRD pattern of CsSn4Au for CuKα, from a DFT-relaxed cell (PBE, Alexandria).

Cell and atoms:
a = 11.898 Å, b = 11.898 Å, c = 6.141 Å
α = 90.00°, β = 90.00°, γ = 153.90°
Atoms (fractional coordinates):
Cs: 0.125 0.875 0.750
Cs: 0.875 0.125 0.250
Sn: 0.040 0.960 0.250
Sn: 0.282 0.718 0.503
Sn: 0.282 0.718 0.997
Sn: 0.500 0.500 0.000
Sn: 0.500 0.500 0.500
Sn: 0.718 0.282 0.003
Sn: 0.718 0.282 0.497
Sn: 0.960 0.040 0.750
Au: 0.387 0.613 0.750
Au: 0.613 0.387 0.250

Largest 12 diffraction maxima, by angle, 10 to 80 degrees two-theta:
- 2θ 22.3, I = 63
- 2θ 24.9, I = 38
- 2θ 29.3, I = 68
- 2θ 33.0, I = 92
- 2θ 33.4, I = 100
- 2θ 33.8, I = 30
- 2θ 35.0, I = 86
- 2θ 38.8, I = 66
- 2θ 39.0, I = 82
- 2θ 47.6, I = 74
- 2θ 55.5, I = 25
- 2θ 74.0, I = 49

# 7
Simulated PXRD pattern of CsSn3Au2 for CuKα, from a DFT-relaxed cell (PBE, Alexandria).

Cell and atoms:
a = 7.175 Å, b = 7.270 Å, c = 6.733 Å
α = 90.00°, β = 90.00°, γ = 90.00°
Atoms (fractional coordinates):
Cs: 0.250 0.250 0.159
Cs: 0.750 0.750 0.841
Sn: 0.250 0.510 0.654
Sn: 0.250 0.750 0.013
Sn: 0.250 0.990 0.654
Sn: 0.750 0.010 0.346
Sn: 0.750 0.250 0.987
Sn: 0.750 0.490 0.346
Au: 0.044 0.750 0.369
Au: 0.456 0.750 0.369
Au: 0.544 0.250 0.631
Au: 0.956 0.250 0.631

Largest 12 diffraction maxima, by angle, 10 to 80 degrees two-theta:
- 2θ 13.1, I = 44
- 2θ 18.0, I = 31
- 2θ 24.5, I = 40
- 2θ 28.2, I = 27
- 2θ 29.2, I = 93
- 2θ 30.6, I = 88
- 2θ 30.8, I = 71
- 2θ 37.7, I = 100
- 2θ 46.2, I = 26
- 2θ 46.6, I = 38
- 2θ 50.2, I = 28
- 2θ 54.4, I = 38

# 8
Simulated PXRD pattern of Cs4Sn2Au7 for CuKα, from a DFT-relaxed cell (PBE, Alexandria).

Cell and atoms:
a = 10.793 Å, b = 10.793 Å, c = 10.793 Å
α = 37.93°, β = 37.93°, γ = 37.93°
Atoms (fractional coordinates):
Cs: 0.184 0.184 0.184
Cs: 0.313 0.313 0.313
Cs: 0.687 0.687 0.687
Cs: 0.816 0.816 0.816
Sn: 0.050 0.050 0.050
Sn: 0.950 0.950 0.950
Au: 0.288 0.288 0.694
Au: 0.288 0.694 0.288
Au: 0.306 0.712 0.712
Au: 0.500 0.500 0.500
Au: 0.694 0.288 0.288
Au: 0.712 0.306 0.712
Au: 0.712 0.712 0.306

Largest 12 diffraction maxima, by angle, 10 to 80 degrees two-theta:
- 2θ 15.7, I = 71
- 2θ 17.7, I = 34
- 2θ 25.4, I = 57
- 2θ 28.0, I = 90
- 2θ 30.0, I = 70
- 2θ 31.1, I = 79
- 2θ 31.8, I = 100
- 2θ 42.1, I = 38
- 2θ 44.8, I = 34
- 2θ 48.5, I = 41
- 2θ 52.2, I = 65
- 2θ 52.9, I = 31

Q: Number 8 is which compound?
A: Cs4Sn2Au7